Starting from the GGA-PBE geometry in Alexandria, the powder diffraction line list of Mg2Al3 was computed for Cu Kα X-rays.
Peak positions follow from Bragg's law for the DFT cell and can differ from measured ones.

Principal peaks in the range 2θ = 5–70°, low angle first:
2θ 19.5, I = 8
2θ 29.1, I = 14
2θ 31.3, I = 16
2θ 35.6, I = 12
2θ 39.4, I = 51
2θ 39.6, I = 100
2θ 42.2, I = 10
2θ 56.9, I = 15
2θ 57.7, I = 7
2θ 61.8, I = 10

Crystal structure
Lattice parameters (Å, degrees): 10.626 10.626 10.626 144.54 144.54 51.01
Positions (direct):
Mg  0.167  0.194  0.527
Mg  0.167  0.640  0.973
Mg  0.194  0.167  0.027
Mg  0.360  0.833  0.527
Mg  0.640  0.167  0.473
Mg  0.806  0.833  0.973
Mg  0.833  0.360  0.027
Mg  0.833  0.806  0.473
Al  0.000  0.000  0.000
Al  0.000  0.000  0.500
Al  0.000  0.500  0.000
Al  0.218  0.679  0.539
Al  0.321  0.360  0.539
Al  0.321  0.782  0.961
Al  0.360  0.321  0.039
Al  0.500  0.000  0.500
Al  0.640  0.679  0.961
Al  0.679  0.218  0.039
Al  0.679  0.640  0.461
Al  0.782  0.321  0.461